Theoretical powder X-ray diffraction pattern of Li2CaCrO4 for copper Kα, from DFT lattice parameters and positions (PBE+U).
Neutral-atom scattering factors, no anomalous dispersion.

Cell and atoms:
a = 5.1915 Å, b = 5.1915 Å, c = 6.7601 Å
α = 90.00°, β = 90.00°, γ = 90.00°
Element x y z (fractional)
Li (0.0000, 0.5000, 0.2500)
Li (0.0000, 0.5000, 0.7500)
Li (0.5000, 0.0000, 0.2500)
Li (0.5000, 0.0000, 0.7500)
Ca (0.0000, 0.0000, 0.0000)
Ca (0.5000, 0.5000, 0.5000)
Cr (0.0000, 0.0000, 0.5000)
Cr (0.5000, 0.5000, 0.0000)
O (0.2059, 0.2059, 0.6472)
O (0.2059, 0.7941, 0.3528)
O (0.2941, 0.2941, 0.1472)
O (0.2941, 0.7059, 0.8528)
O (0.7059, 0.2941, 0.8528)
O (0.7059, 0.7059, 0.1472)
O (0.7941, 0.2059, 0.3528)
O (0.7941, 0.7941, 0.6472)

Peak list (10 most intense, 5 to 70 degrees two-theta, in order of rising 2θ)
2theta	Rel. int.	hkl
21.6	15	1 0 1
24.2	86	1 1 0
26.4	18	0 0 2
34.6	10	2 0 0
36.1	100	1 1 2
44.0	38	2 0 2
49.7	29	2 2 0
60.3	10	1 1 4
62.9	31	3 1 2
66.0	21	2 0 4